(1)
For RbSiTc2O8, the PBE geometry in Alexandria gives the computed X-ray powder pattern in this record (Cu Kα (weighted mean of Kα1 and Kα2)).

a b c (Å): 9.284 9.284 9.284
angles (deg): 34.10 34.10 34.10
Positions (direct):
Rb  0.000  0.000  0.000
Si  0.500  0.500  0.500
Tc  0.230  0.230  0.230
Tc  0.770  0.770  0.770
O  0.158  0.610  0.610
O  0.297  0.297  0.297
O  0.390  0.390  0.842
O  0.390  0.842  0.390
O  0.610  0.158  0.610
O  0.610  0.610  0.158
O  0.703  0.703  0.703
O  0.842  0.390  0.390

Largest 12 diffraction maxima, by angle, 10 to 80 degrees two-theta:
two_theta  I/Imax
10.13  9.3
20.01  10.8
23.24  100.0
25.41  15.6
30.70  11.6
32.90  35.0
33.30  9.4
45.62  11.5
47.51  10.1
49.15  10.2
53.27  18.3
73.87  9.5

(2)
For Rb2TiSi6O15, the PBE geometry in Alexandria gives the computed X-ray powder pattern in this record (Cu Kα (weighted mean of Kα1 and Kα2)).

a b c (Å): 7.477 7.477 15.393
angles (deg): 103.21 103.21 60.18
Positions (direct):
Rb  0.122  0.878  0.500
Rb  0.384  0.656  0.832
Rb  0.656  0.384  0.332
Rb  0.878  0.122  0.000
Ti  0.024  0.545  0.924
Ti  0.545  0.024  0.424
Si  0.168  0.308  0.273
Si  0.239  0.881  0.264
Si  0.257  0.320  0.585
Si  0.308  0.168  0.773
Si  0.320  0.257  0.085
Si  0.393  0.601  0.076
Si  0.601  0.393  0.576
Si  0.661  0.788  0.063
Si  0.770  0.885  0.767
Si  0.788  0.661  0.563
Si  0.881  0.239  0.764
Si  0.885  0.770  0.267
O  0.006  0.441  0.555
O  0.087  0.128  0.248
O  0.101  0.788  0.288
O  0.110  0.362  0.017
O  0.128  0.087  0.748
O  0.201  0.674  0.996
O  0.272  0.334  0.863
O  0.273  0.299  0.189
O  0.299  0.273  0.689
O  0.334  0.272  0.363
O  0.338  0.749  0.172
O  0.357  0.478  0.590
O  0.362  0.110  0.517
O  0.418  0.858  0.349
O  0.441  0.006  0.055
O  0.478  0.357  0.090
O  0.531  0.951  0.781
O  0.596  0.601  0.051
O  0.601  0.596  0.551
O  0.674  0.201  0.496
O  0.733  0.945  0.336
O  0.749  0.338  0.672
O  0.752  0.788  0.484
O  0.788  0.101  0.788
O  0.788  0.752  0.984
O  0.789  0.805  0.163
O  0.805  0.789  0.663
O  0.858  0.418  0.849
O  0.945  0.733  0.836
O  0.951  0.531  0.281

Largest 12 diffraction maxima, by angle, 10 to 80 degrees two-theta:
two_theta  I/Imax
23.98  59.8
24.14  100.0
24.49  77.2
24.64  44.6
26.04  47.4
26.86  78.5
27.59  58.6
28.61  82.2
29.22  31.3
29.38  40.3
36.86  29.6
39.27  38.2

(3)
For RbTmSi2O6, the PBE geometry in Alexandria gives the computed X-ray powder pattern in this record (Cu Kα (weighted mean of Kα1 and Kα2)).

a b c (Å): 7.129 7.129 5.521
angles (deg): 98.90 98.90 87.28
Positions (direct):
Rb  0.182  0.818  0.750
Rb  0.818  0.182  0.250
Tm  0.386  0.614  0.250
Tm  0.614  0.386  0.750
Si  0.138  0.302  0.800
Si  0.302  0.138  0.300
Si  0.698  0.862  0.700
Si  0.862  0.698  0.200
O  0.079  0.620  0.251
O  0.160  0.176  0.037
O  0.176  0.160  0.537
O  0.317  0.449  0.868
O  0.380  0.921  0.249
O  0.449  0.317  0.368
O  0.551  0.683  0.632
O  0.620  0.079  0.751
O  0.683  0.551  0.132
O  0.824  0.840  0.463
O  0.840  0.824  0.963
O  0.921  0.380  0.749

Largest 12 diffraction maxima, by angle, 10 to 80 degrees two-theta:
two_theta  I/Imax
12.57  45.3
17.60  43.7
24.49  33.4
28.11  100.0
32.19  21.7
32.38  49.1
33.22  30.4
34.18  16.2
39.52  13.3
40.52  20.9
47.05  15.5
61.29  15.1